Diffraction record for BaMg2VN4. The PXRD pattern is simulated, not measured: it uses a PBE-relaxed structure and Cu Kα (weighted mean of Kα1 and Kα2).
Neutral-atom scattering factors, no anomalous dispersion.

Cell and atoms:
Cell: 7.432 5.783 5.665 Å, 90.00 90.00 90.00°
Space group Pmn2_1 (No. 31)
Symmetry-distinct sites (fractional):
Ba1 0.000 0.174 0.000
Mg1 0.244 0.332 0.507
V1 0.000 0.798 0.517
N1 0.000 0.118 0.488
N2 0.000 0.734 0.831
N3 0.186 0.659 0.366

Top 10 peaks for 2θ = 10–90°, in order of falling intensity:
2θ 32.72, 2.737 Å, I 100, hkl 2 1 1
2θ 21.96, 4.047 Å, I 57, hkl 0 1 1
2θ 31.59, 2.833 Å, I 45, hkl 0 0 2
2θ 23.95, 3.716 Å, I 32, hkl 2 0 0
2θ 28.55, 3.126 Å, I 30, hkl 2 1 0
2θ 34.84, 2.575 Å, I 28, hkl 0 2 1
2θ 56.97, 1.616 Å, I 28, hkl 2 1 3
2θ 30.93, 2.891 Å, I 24, hkl 0 2 0
2θ 63.52, 1.465 Å, I 21, hkl 2 3 2
2θ 53.56, 1.711 Å, I 20, hkl 2 3 0

---

Diffraction record for Ba2NaMg16. The PXRD pattern is simulated, not measured: it uses a PBE-relaxed structure and Cu Kα (weighted mean of Kα1 and Kα2).
Neutral-atom scattering factors, no anomalous dispersion.

Cell and atoms:
Cell: 10.7242 10.7242 15.6259 Å, 90.00 90.00 120.00°
Space group R3m (No. 160, hexagonal axes)
Symmetry-distinct sites (fractional):
Ba1 0.0000 0.0000 0.0000
Ba2 0.0000 0.0000 0.3216
Na1 0.0000 0.0000 0.7576
Mg1 0.0000 0.0000 0.5576
Mg2 0.9999 0.2979 0.6594
Mg3 0.0055 0.5028 0.1600
Mg4 0.1677 0.3353 0.1474
Mg5 0.1701 0.3402 0.8390

Top 10 peaks for 2θ = 10–90°, in order of falling intensity:
2θ 33.68, 2.661 Å, I 100, hkl 0 3 3
2θ 23.82, 3.736 Å, I 73, hkl 1 1 3
2θ 33.42, 2.681 Å, I 57, hkl 2 2 0
2θ 28.84, 3.096 Å, I 50, hkl 3 0 0
2θ 34.40, 2.607 Å, I 47, hkl 0 0 6
2θ 16.53, 5.362 Å, I 34, hkl 1 1 0
2θ 48.73, 1.869 Å, I 32, hkl 2 2 6
2θ 48.18, 1.889 Å, I 26, hkl 4 1 3
2θ 29.89, 2.989 Å, I 25, hkl 0 2 4
2θ 11.08, 7.984 Å, I 22, hkl 1 0 1

---

Diffraction record for Ba3Na2Mg. The PXRD pattern is simulated, not measured: it uses a PBE-relaxed structure and Cu Kα (weighted mean of Kα1 and Kα2).
Neutral-atom scattering factors, no anomalous dispersion.

Cell and atoms:
Cell: 4.437 4.437 14.689 Å, 90.00 90.00 90.00°
Space group P4/mmm (No. 123)
Symmetry-distinct sites (fractional):
Ba1 0.000 0.000 0.000
Ba2 0.000 0.000 0.356
Na1 0.500 0.500 0.178
Mg1 0.500 0.500 0.500

Top 10 peaks for 2θ = 10–90°, in order of falling intensity:
2θ 27.12, 3.288 Å, I 100, hkl 1 0 3
2θ 20.01, 4.437 Å, I 53, hkl 1 0 0
2θ 28.45, 3.138 Å, I 49, hkl 1 1 0
2θ 49.57, 1.839 Å, I 39, hkl 2 1 3
2θ 18.12, 4.896 Å, I 29, hkl 0 0 3
2θ 33.93, 2.642 Å, I 25, hkl 1 1 3
2θ 40.67, 2.219 Å, I 18, hkl 2 0 0
2θ 47.08, 1.930 Å, I 15, hkl 1 1 6
2θ 36.70, 2.449 Å, I 14, hkl 0 0 6
2θ 42.15, 2.144 Å, I 14, hkl 1 0 6